Computed powder diffraction line list of Dy6Ho2TmTh for Cu Kα X-rays, from DFT lattice parameters and positions (PBE).
Neutral-atom scattering factors, no anomalous dispersion.

Principal peaks in the range 10° ≤ 2θ ≤ 90°, sorted by position:
two_theta, intensity
28.58, 653
29.11, 411
30.57, 950
30.76, 1000
31.30, 531
31.71, 942
31.82, 632
32.63, 605
35.32, 377
40.52, 258

```
data_Dy6Ho2TmTh
_chemical_formula_sum 'Dy12 Ho4 Tm2 Th2'
_cell_length_a 8.8296
_cell_length_b 8.8296
_cell_length_c 9.1533
_cell_angle_alpha 91.93
_cell_angle_beta 91.93
_cell_angle_gamma 116.59
_space_group_name_H-M_alt 'P 1'
_space_group_IT_number 1
loop_
_space_group_symop_operation_xyz
'x,y,z'
loop_
_atom_site_label
_atom_site_fract_x
_atom_site_fract_y
_atom_site_fract_z
_atom_site_occupancy
Dy1 0.0056 0.5666 0.1911 1
Dy2 0.1242 0.7728 0.5600 1
Dy3 0.2272 0.8758 0.9400 1
Dy4 0.2837 0.5187 0.3931 1
Dy5 0.4334 0.9944 0.3089 1
Dy6 0.4813 0.7163 0.1069 1
Dy7 0.5187 0.2837 0.8931 1
Dy8 0.5666 0.0056 0.6911 1
Dy9 0.7163 0.4813 0.6069 1
Dy10 0.7728 0.1242 0.0600 1
Dy11 0.8758 0.2272 0.4400 1
Dy12 0.9944 0.4334 0.8089 1
Ho1 0.2036 0.3113 0.0566 1
Ho2 0.3113 0.2036 0.5566 1
Ho3 0.6887 0.7964 0.4434 1
Ho4 0.7964 0.6887 0.9434 1
Tm1 0.4162 0.5838 0.7500 1
Tm2 0.5838 0.4162 0.2500 1
Th1 0.0343 0.9657 0.2500 1
Th2 0.9657 0.0343 0.7500 1
```